# 1
Structure and calculated powder diffraction line list of MgZn (a structure optimized by DFT (GGA-PBE); Cu Kα (weighted mean of Kα1 and Kα2)).

Atomic structure:
```
MgZn
1.0
4.8224 0.0000 0.0000
0.0000 8.8452 0.0000
0.0000 0.0000 5.1272
Mg Zn
6 6
Cartesian
0.0000 0.0000 0.0000 Mg
0.0000 4.4226 2.5636 Mg
2.4112 1.5306 4.0980 Mg
2.4112 2.8920 1.5344 Mg
2.4112 5.9532 1.5344 Mg
2.4112 7.3146 4.0980 Mg
0.0000 1.4016 2.4414 Zn
0.0000 3.0210 5.0050 Zn
0.0000 5.8242 5.0050 Zn
0.0000 7.4436 2.4414 Zn
2.4112 0.0000 1.6217 Zn
2.4112 4.4226 4.1853 Zn
```

Most intense lines, 10° ≤ 2θ ≤ 90°, in order of rising 2θ:
2θ/deg  intensity
20.0  25
27.3  13
35.1  18
37.3  27
39.9  100
52.1  16
62.8  10
69.0  18
75.4  12
77.2  8



# 2
Structure and calculated powder diffraction line list of BaPm3 (a structure optimized by DFT (GGA-PBE); Cu Kα (weighted mean of Kα1 and Kα2)).

Atomic structure:
```
BaPm3
1.0
5.4176 0.0000 0.0000
0.0000 5.4176 0.0000
0.0000 0.0000 10.4671
Ba Pm
2 6
Cartesian
0.0000 0.0000 0.0000 Ba
2.7088 2.7088 5.2335 Ba
0.0000 0.0000 5.2335 Pm
0.0000 2.7088 2.6168 Pm
0.0000 2.7088 7.8503 Pm
2.7088 0.0000 2.6168 Pm
2.7088 0.0000 7.8503 Pm
2.7088 2.7088 0.0000 Pm
```

Most intense lines, 10° ≤ 2θ ≤ 90°, in order of rising 2θ:
2θ/deg  intensity
28.9  100
33.1  35
34.3  16
47.5  13
48.4  24
56.5  30
58.1  14
59.8  13
78.2  12
89.1  9